DyTm2Al3AgPt2: calculated powder diffractogram (Cu Kα X-rays), based on a DFT-relaxed cell (PBE, OQMD).

Structure:
```
DyTm2Al3AgPt2
1.0
3.872 0.000 0.000
0.000 6.351 3.652
0.000 -6.351 3.652
Dy Tm Al Ag Pt
1 2 3 1 2
direct
0.000 0.000 0.000
0.000 0.414 0.828
0.000 0.828 0.414
0.500 0.155 0.415
0.500 0.415 0.155
0.500 0.673 0.673
0.000 0.416 0.416
0.500 0.082 0.745
0.500 0.745 0.082
```

Most intense lines, 5 to 70 degrees two-theta, in order of rising 2θ:
d (Å)	2theta	I (rel.)
6.340	14.0	345
3.660	24.3	447
2.659	33.7	991
2.452	36.6	1000
2.398	37.5	155
2.111	42.8	259
2.039	44.4	196
1.936	46.9	224
1.427	65.4	147
1.363	68.9	166

Dy2TmAl3AgPt2: calculated powder diffractogram (Cu Kα X-rays), based on a DFT-relaxed cell (PBE, OQMD).

Structure:
```
Dy2TmAl3AgPt2
1.0
3.889 0.000 0.000
0.000 6.348 3.677
0.000 -6.348 3.677
Dy Tm Al Ag Pt
2 1 3 1 2
direct
0.000 0.207 0.793
0.000 0.793 0.207
0.000 0.622 0.622
0.500 0.209 0.468
0.500 0.468 0.209
0.500 0.947 0.947
0.000 0.210 0.210
0.500 0.542 0.872
0.500 0.872 0.542
```

Most intense lines, 5 to 70 degrees two-theta, in order of rising 2θ:
d (Å)	2theta	I (rel.)
6.359	13.9	343
3.671	24.2	448
2.670	33.6	983
2.461	36.5	1000
2.405	37.4	153
2.121	42.6	257
2.045	44.3	287
1.944	46.7	224
1.433	65.1	221
1.365	68.8	161

Sr2DyAl7Ag2: calculated powder diffractogram (Cu Kα X-rays), based on a DFT-relaxed cell (PBE, OQMD).

Structure:
```
Sr2DyAl7Ag2
1.0
2.841 1.641 9.059
-2.841 1.641 9.059
0.000 -3.281 9.059
Sr Dy Al Ag
2 1 7 2
direct
0.142 0.142 0.142
0.858 0.858 0.858
0.000 0.000 0.000
0.074 0.583 0.583
0.417 0.417 0.926
0.417 0.926 0.417
0.500 0.500 0.500
0.583 0.074 0.583
0.583 0.583 0.074
0.926 0.417 0.417
0.336 0.336 0.336
0.664 0.664 0.664
```

Most intense lines, 5 to 70 degrees two-theta, in order of rising 2θ:
d (Å)	2theta	I (rel.)
9.059	9.8	511
4.530	19.6	324
3.048	29.3	149
2.841	31.5	695
2.711	33.0	163
2.407	37.4	1000
2.069	43.7	213
1.542	60.0	243
1.528	60.6	145
1.421	65.7	158

Ho2ErAl3AgGe2: calculated powder diffractogram (Cu Kα X-rays), based on a DFT-relaxed cell (PBE, OQMD).

Structure:
```
Ho2ErAl3AgGe2
1.0
4.254 0.000 0.000
0.000 6.081 3.513
0.000 -6.081 3.513
Ho Er Al Ag Ge
2 1 3 1 2
direct
0.000 0.207 0.793
0.000 0.793 0.207
0.000 0.620 0.620
0.500 0.207 0.448
0.500 0.448 0.207
0.500 0.966 0.966
0.000 0.208 0.208
0.500 0.540 0.873
0.500 0.873 0.540
```

Most intense lines, 5 to 70 degrees two-theta, in order of rising 2θ:
d (Å)	2theta	I (rel.)
4.254	20.9	324
3.512	25.4	318
3.041	29.4	330
2.708	33.1	834
2.474	36.3	1000
2.299	39.2	233
2.127	42.5	267
2.027	44.7	215
2.023	44.8	216
1.568	58.9	275

Ho2ErAl7Ag2: calculated powder diffractogram (Cu Kα X-rays), based on a DFT-relaxed cell (PBE, OQMD).

Structure:
```
Ho2ErAl7Ag2
1.0
2.763 1.595 8.751
-2.763 1.595 8.751
0.000 -3.190 8.751
Ho Er Al Ag
2 1 7 2
direct
0.142 0.142 0.142
0.858 0.858 0.858
0.000 0.000 0.000
0.076 0.588 0.588
0.412 0.412 0.924
0.412 0.924 0.412
0.500 0.500 0.500
0.588 0.076 0.588
0.588 0.588 0.076
0.924 0.412 0.412
0.336 0.336 0.336
0.664 0.664 0.664
```

Most intense lines, 5 to 70 degrees two-theta, in order of rising 2θ:
d (Å)	2theta	I (rel.)
4.708	18.9	211
4.375	20.3	382
2.952	30.3	298
2.763	32.4	853
2.706	33.1	200
2.336	38.5	1000
1.595	57.8	161
1.499	61.9	244
1.478	62.9	173
1.381	67.8	169

HoEr2Al3AgIr2: calculated powder diffractogram (Cu Kα X-rays), based on a DFT-relaxed cell (PBE, OQMD).

Structure:
```
HoEr2Al3AgIr2
1.0
4.012 0.000 0.000
0.000 6.171 3.553
0.000 -6.171 3.553
Ho Er Al Ag Ir
1 2 3 1 2
direct
0.000 0.000 0.000
0.000 0.163 0.582
0.000 0.582 0.163
0.500 0.322 0.322
0.500 0.582 0.841
0.500 0.841 0.582
0.000 0.580 0.580
0.500 0.249 0.914
0.500 0.914 0.249
```

Most intense lines, 5 to 70 degrees two-theta, in order of rising 2θ:
d (Å)	2theta	I (rel.)
6.163	14.4	321
3.558	25.0	387
3.362	26.5	129
2.662	33.7	920
2.444	36.8	1000
2.329	38.7	203
2.054	44.1	317
2.014	45.0	255
2.006	45.2	241
1.435	65.0	133